# 1
Structure and calculated X-ray diffraction stick pattern of Rb2NaNdI6 (a cell relaxed with PBE; Cu Kα (weighted mean of Kα1 and Kα2)).

Main lines, sorted by position (2θ from 10° to 90°):
2θ (°)  I/Imax
14.18  27
24.69  93
28.59  100
40.87  75
48.33  44
50.63  27
67.01  34
74.42  25

Atomic structure:
```
Rb2NaNdI6
1.0
0.000 6.245 6.245
6.245 0.000 6.245
6.245 6.245 0.000
Rb Na Nd I
2 1 1 6
direct
0.250 0.250 0.250
0.750 0.750 0.750
0.000 0.000 0.000
0.500 0.500 0.500
0.252 0.252 0.748
0.252 0.748 0.252
0.252 0.748 0.748
0.748 0.252 0.252
0.748 0.252 0.748
0.748 0.748 0.252
```

---

# 2
Structure and calculated X-ray diffraction stick pattern of Te3Mo4N2 (a cell relaxed with PBE; Cu Kα (weighted mean of Kα1 and Kα2)).

Main lines, sorted by position (2θ from 10° to 90°):
2θ (°)  I/Imax
28.62  42
30.71  40
31.92  41
34.20  43
35.36  100
38.54  61
42.53  44
56.55  29

Atomic structure:
```
Te3Mo4N2
1.0
6.516 0.000 0.000
0.000 9.766 0.000
0.000 0.000 10.356
Te Mo N
12 16 8
direct
0.112 0.250 0.188
0.158 0.078 0.884
0.158 0.422 0.884
0.342 0.578 0.384
0.342 0.922 0.384
0.388 0.750 0.688
0.612 0.250 0.312
0.658 0.078 0.616
0.658 0.422 0.616
0.842 0.578 0.116
0.842 0.922 0.116
0.888 0.750 0.812
0.013 0.750 0.320
0.028 0.605 0.578
0.028 0.895 0.578
0.172 0.750 0.035
0.328 0.250 0.535
0.472 0.105 0.078
0.472 0.395 0.078
0.487 0.250 0.820
0.513 0.750 0.180
0.528 0.605 0.922
0.528 0.895 0.922
0.672 0.750 0.465
0.828 0.250 0.965
0.972 0.105 0.422
0.972 0.395 0.422
0.987 0.250 0.680
0.142 0.097 0.586
0.142 0.403 0.586
0.358 0.597 0.086
0.358 0.903 0.086
0.642 0.097 0.914
0.642 0.403 0.914
0.858 0.597 0.414
0.858 0.903 0.414
```

---

# 3
Structure and calculated X-ray diffraction stick pattern of SiO2 (a cell relaxed with PBE; Cu Kα (weighted mean of Kα1 and Kα2)).

Main lines, sorted by position (2θ from 10° to 90°):
2θ (°)  I/Imax
20.78  14
21.46  73
21.59  100
21.74  65
27.10  12
27.27  31
35.88  16
37.55  12

Atomic structure:
```
SiO2
1.0
8.734 0.000 0.000
0.000 5.008 0.000
-5.622 0.000 8.283
Si O
8 16
direct
0.125 0.113 0.294
0.125 0.387 0.794
0.375 0.236 0.670
0.375 0.264 0.170
0.625 0.736 0.830
0.625 0.764 0.330
0.875 0.613 0.206
0.875 0.887 0.706
0.051 0.693 0.762
0.051 0.807 0.262
0.210 0.172 0.189
0.210 0.328 0.689
0.287 0.149 0.484
0.287 0.351 0.984
0.484 0.516 0.288
0.484 0.984 0.788
0.516 0.016 0.212
0.516 0.484 0.712
0.713 0.649 0.016
0.713 0.851 0.516
0.790 0.672 0.311
0.790 0.828 0.811
0.949 0.193 0.738
0.949 0.307 0.238
```

---

# 4
Structure and calculated X-ray diffraction stick pattern of Ho2MgAl (a cell relaxed with PBE; Cu Kα (weighted mean of Kα1 and Kα2)).

Main lines, sorted by position (2θ from 10° to 90°):
2θ (°)  I/Imax
24.31  64
34.65  100
42.78  19
49.81  18
56.18  26
62.10  37
78.35  13
83.50  16

Atomic structure:
```
Ho2MgAl
1.0
7.322 0.000 0.000
0.000 7.322 0.000
0.000 0.000 7.322
Ho Mg Al
8 4 4
direct
0.250 0.250 0.250
0.250 0.250 0.750
0.250 0.750 0.250
0.250 0.750 0.750
0.750 0.250 0.250
0.750 0.250 0.750
0.750 0.750 0.250
0.750 0.750 0.750
0.000 0.000 0.000
0.000 0.500 0.500
0.500 0.000 0.500
0.500 0.500 0.000
0.000 0.000 0.500
0.000 0.500 0.000
0.500 0.000 0.000
0.500 0.500 0.500
```

---

# 5
Structure and calculated X-ray diffraction stick pattern of Dy2Al3Fe (a cell relaxed with PBE; Cu Kα (weighted mean of Kα1 and Kα2)).

Main lines, sorted by position (2θ from 10° to 90°):
2θ (°)  I/Imax
19.86  50
20.38  36
32.59  100
33.26  63
38.46  31
38.75  100
39.32  45
58.59  26

Atomic structure:
```
Dy2Al3Fe
1.0
2.747 1.586 4.357
-2.747 1.586 4.357
0.000 -3.172 4.357
Dy Al Fe
2 3 1
direct
0.126 0.126 0.126
0.874 0.874 0.874
0.000 0.500 0.500
0.500 0.000 0.500
0.500 0.500 0.000
0.500 0.500 0.500
```

---

# 6
Structure and calculated X-ray diffraction stick pattern of Sr3Pb (a cell relaxed with PBE; Cu Kα (weighted mean of Kα1 and Kα2)).

Main lines, sorted by position (2θ from 10° to 90°):
2θ (°)  I/Imax
16.38  16
23.25  15
28.57  100
33.11  51
47.53  37
56.40  45
76.78  18
79.16  17

Atomic structure:
```
Sr3Pb
1.0
5.411 0.000 0.000
0.000 5.411 0.000
0.000 0.000 5.411
Sr Pb
3 1
direct
0.000 0.000 0.500
0.000 0.500 0.000
0.500 0.000 0.000
0.500 0.500 0.500
```

---

Please write out number 4 again, unchanged.
Structure and calculated X-ray diffraction stick pattern of Ho2MgAl (a cell relaxed with PBE; Cu Kα (weighted mean of Kα1 and Kα2)).

Main lines, sorted by position (2θ from 10° to 90°):
2θ (°)  I/Imax
24.31  64
34.65  100
42.78  19
49.81  18
56.18  26
62.10  37
78.35  13
83.50  16

Atomic structure:
```
Ho2MgAl
1.0
7.322 0.000 0.000
0.000 7.322 0.000
0.000 0.000 7.322
Ho Mg Al
8 4 4
direct
0.250 0.250 0.250
0.250 0.250 0.750
0.250 0.750 0.250
0.250 0.750 0.750
0.750 0.250 0.250
0.750 0.250 0.750
0.750 0.750 0.250
0.750 0.750 0.750
0.000 0.000 0.000
0.000 0.500 0.500
0.500 0.000 0.500
0.500 0.500 0.000
0.000 0.000 0.500
0.000 0.500 0.000
0.500 0.000 0.000
0.500 0.500 0.500
```